This entry pairs a crystal structure of Mn9O13 with its computed X-ray powder pattern. Radiation: copper Kα. Structure: the PBE+U geometry in Alexandria.
Lines closer than 0.1° are merged.

Largest 12 diffraction maxima, most intense first, 2θ = 10–80°:
Position (°2θ), intensity
10.14, 100
32.97, 41
34.12, 29
42.45, 18
19.74, 15
41.15, 15
41.28, 15
44.37, 14
61.30, 12
44.64, 12
58.14, 12
36.29, 12

Atomic structure:
Lattice parameters (Å, degrees): 5.1793 5.1793 17.5461 95.80 95.80 33.95
Atoms (fractional coordinates):
1 Mn 0.0000 0.0000 0.0000
2 Mn 0.1460 0.1460 0.5391
3 Mn 0.2475 0.2475 0.9215
4 Mn 0.4397 0.4397 0.6261
5 Mn 0.4887 0.4887 0.8208
6 Mn 0.5113 0.5113 0.1792
7 Mn 0.5603 0.5603 0.3739
8 Mn 0.7525 0.7525 0.0785
9 Mn 0.8540 0.8540 0.4609
10 O 0.0638 0.0638 0.6294
11 O 0.1193 0.1193 0.8375
12 O 0.1332 0.1332 0.1085
13 O 0.2173 0.2173 0.4372
14 O 0.3528 0.3528 0.0282
15 O 0.3890 0.3890 0.7192
16 O 0.5000 0.5000 0.5000
17 O 0.6110 0.6110 0.2808
18 O 0.6472 0.6472 0.9718
19 O 0.7827 0.7827 0.5628
20 O 0.8668 0.8668 0.8915
21 O 0.8807 0.8807 0.1625
22 O 0.9362 0.9362 0.3706

***

This entry pairs a crystal structure of Mn2O5 with its computed X-ray powder pattern. Radiation: copper Kα. Structure: the PBE+U geometry in Alexandria.
Lines closer than 0.1° are merged.

Largest 12 diffraction maxima, most intense first, 2θ = 10–80°:
Position (°2θ), intensity
24.48, 100
25.13, 43
35.37, 21
57.89, 15
50.17, 14
51.58, 11
32.35, 11
31.34, 10
56.91, 9
53.15, 9
37.28, 9
42.49, 8

Atomic structure:
Lattice parameters (Å, degrees): 5.5351 9.6468 3.5438 90.00 90.00 90.00
Atoms (fractional coordinates):
1 Mn 0.2204 0.1412 0.0000
2 Mn 0.2796 0.6412 0.0000
3 Mn 0.7204 0.3588 0.0000
4 Mn 0.7796 0.8588 0.0000
5 O 0.0000 0.0000 0.0000
6 O 0.0479 0.2957 0.0000
7 O 0.2140 0.6018 0.5000
8 O 0.2860 0.1018 0.5000
9 O 0.4521 0.7957 0.0000
10 O 0.5000 0.5000 0.0000
11 O 0.5479 0.2043 0.0000
12 O 0.7140 0.8982 0.5000
13 O 0.7860 0.3982 0.5000
14 O 0.9521 0.7043 0.0000